1.
Starting from the PBE geometry in Alexandria, the X-ray diffraction stick pattern of CeSnAu17 was simulated for CuKα.
Intensities are scaled so that the largest is 100.

Principal peaks in the range 2θ = 10–90°, by angle:
18.40°, intensity 14.3; 32.15°, intensity 20.3; 32.88°, intensity 17.9; 37.33°, intensity 100.0; 37.53°, intensity 21.7; 37.98°, intensity 20.7; 41.95°, intensity 67.0; 42.11°, intensity 22.8; 60.78°, intensity 11.0; 64.21°, intensity 11.0; 67.26°, intensity 18.3; 67.62°, intensity 15.2

Cell and atoms:
Cell: 7.3463 7.3463 7.3463 Å, 82.05 82.05 82.05°
Fractional positions:
Ce 0.0000 0.0000 0.0000
Sn 0.3000 0.3000 0.3000
Au 0.0321 0.0321 0.5046
Au 0.0321 0.5046 0.0321
Au 0.1653 0.6804 0.6804
Au 0.3224 0.3224 0.8163
Au 0.3224 0.8163 0.3224
Au 0.3685 0.6738 0.9787
Au 0.3685 0.9787 0.6738
Au 0.5046 0.0321 0.0321
Au 0.5686 0.5686 0.5686
Au 0.6738 0.3685 0.9787
Au 0.6738 0.9787 0.3685
Au 0.6804 0.1653 0.6804
Au 0.6804 0.6804 0.1653
Au 0.7704 0.7704 0.7704
Au 0.8163 0.3224 0.3224
Au 0.9787 0.3685 0.6738
Au 0.9787 0.6738 0.3685



2.
Starting from the PBE geometry in Alexandria, the X-ray diffraction stick pattern of LiNiH3 was simulated for CuKα.
Intensities are scaled so that the largest is 100.

Principal peaks in the range 2θ = 10–90°, by angle:
18.73°, intensity 100.0; 22.79°, intensity 14.2; 23.87°, intensity 24.6; 25.88°, intensity 10.1; 37.98°, intensity 15.8; 40.49°, intensity 13.0; 40.61°, intensity 12.8; 40.78°, intensity 12.7; 41.76°, intensity 11.9; 42.07°, intensity 11.8; 42.63°, intensity 11.5; 48.21°, intensity 14.4

Cell and atoms:
Cell: 4.4896 4.4908 5.0168 Å, 70.83 80.85 60.35°
Fractional positions:
Li 0.0000 0.0000 0.0000
Li 0.3355 0.4831 0.5268
Ni 0.0027 0.1701 0.4700
Ni 0.6683 0.8375 0.4703
H 0.3314 0.9582 0.2833
H 0.3350 0.0271 0.6641
H 0.7035 0.1997 0.2953
H 0.7418 0.4303 0.6610
H 0.9311 0.8394 0.6650
H 0.9502 0.5747 0.2862



3.
Starting from the PBE geometry in Alexandria, the X-ray diffraction stick pattern of Th8PSe4S3 was simulated for CuKα.
Intensities are scaled so that the largest is 100.

Principal peaks in the range 2θ = 10–90°, by angle:
25.83°, intensity 16.7; 26.56°, intensity 50.1; 30.55°, intensity 100.0; 43.28°, intensity 36.6; 44.21°, intensity 37.4; 51.91°, intensity 16.3; 52.32°, intensity 8.5; 54.69°, intensity 19.7; 63.59°, intensity 11.9; 71.51°, intensity 15.2; 72.86°, intensity 17.1; 80.70°, intensity 12.3

Cell and atoms:
Cell: 8.3646 8.3646 8.3646 Å, 58.66 58.66 58.66°
Fractional positions:
Th 0.2438 0.2438 0.2438
Th 0.2438 0.7438 0.7438
Th 0.2562 0.2562 0.7562
Th 0.2562 0.7562 0.2562
Th 0.7438 0.2438 0.7438
Th 0.7438 0.7438 0.2438
Th 0.7562 0.2562 0.2562
Th 0.7562 0.7562 0.7562
P 0.5000 0.5000 0.5000
Se 0.0000 0.0000 0.0000
Se 0.0000 0.5000 0.5000
Se 0.5000 0.0000 0.5000
Se 0.5000 0.5000 0.0000
S 0.0000 0.0000 0.5000
S 0.0000 0.5000 0.0000
S 0.5000 0.0000 0.0000